# Ba2MnCuP4O14
Calculated powder diffraction line list, CuKα. Input: the GGA+U geometry in Alexandria.
Peak positions follow from Bragg's law for the DFT cell and can differ from measured ones.

Structural model:
```
data_Ba2MnCuP4O14
_chemical_formula_sum 'Ba2 Mn1 Cu1 P4 O14'
_space_group_name_H-M_alt 'P 1'
_space_group_IT_number 1
_space_group_name_Hall 'P 1'
_cell_length_a 5.380
_cell_length_b 7.598
_cell_length_c 7.681
_cell_angle_alpha 102.91
_cell_angle_beta 91.47
_cell_angle_gamma 94.69
loop_
_atom_site_label
_atom_site_type_symbol
_atom_site_fract_x
_atom_site_fract_y
_atom_site_fract_z
Ba1 Ba 0.000 0.000 0.000
Ba2 Ba 0.405 0.557 0.868
Mn1 Mn 0.392 0.399 0.340
Cu1 Cu 0.016 0.135 0.535
P1 P 0.496 0.970 0.336
P2 P 0.509 0.046 0.717
P3 P 0.902 0.513 0.149
P4 P 0.922 0.593 0.540
O1 O 0.111 0.448 0.535
O2 O 0.117 0.388 0.131
O3 O 0.290 0.168 0.728
O4 O 0.299 0.115 0.348
O5 O 0.428 0.809 0.185
O6 O 0.477 0.904 0.523
O7 O 0.497 0.936 0.860
O8 O 0.646 0.403 0.137
O9 O 0.653 0.510 0.550
O10 O 0.763 0.062 0.334
O11 O 0.766 0.155 0.724
O12 O 0.916 0.631 0.013
O13 O 0.938 0.649 0.346
O14 O 0.995 0.762 0.682
```

Main lines, most intense first (2θ from 5° to 70°):
| 2θ/deg | intensity |
| --- | --- |
| 24.13 | 100 |
| 29.37 | 87 |
| 29.75 | 72 |
| 28.65 | 62 |
| 33.46 | 44 |
| 22.70 | 37 |
| 28.48 | 36 |
| 32.52 | 33 |